The following is a simulated powder XRD pattern of Li2VO2F. It was derived from a structure optimized by DFT (PBE+U), using CuKα.

Main lines, most intense first (15 to 90 degrees two-theta):
(2 1 -2), 42.10 deg, intensity 100; (2 0 0), 24.16 deg, intensity 62; (0 1 6), 61.99 deg, intensity 47; (2 0 4), 43.31 deg, intensity 44; (0 1 2), 34.29 deg, intensity 31; (0 2 0), 61.13 deg, intensity 23

Structure:
```
data_Li2VO2F
_chemical_formula_sum 'Li8 V4 O8 F4'
_cell_length_a 7.3714
_cell_length_b 3.0322
_cell_length_c 10.3394
_cell_angle_alpha 90.00
_cell_angle_beta 91.55
_cell_angle_gamma 90.00
_space_group_name_H-M_alt 'P 1 m 1'
_space_group_IT_number 6
loop_
_space_group_symop_operation_xyz
'x,y,z'
'x,-y,z'
loop_
_atom_site_label
_atom_site_fract_x
_atom_site_fract_y
_atom_site_fract_z
Li1 0.0000 0.0000 0.0000
Li2 0.0006 0.5000 0.2486
Li3 0.0310 0.5000 0.7430
Li4 0.0384 0.0000 0.5051
Li5 0.2864 0.5000 0.6079
Li6 0.2926 0.0000 0.8283
Li7 0.3149 0.0000 0.3339
Li8 0.3173 0.5000 0.0856
V1 0.6397 0.0000 0.6800
V2 0.6562 0.5000 0.9238
V3 0.6576 0.5000 0.4130
V4 0.6589 0.0000 0.1691
O1 0.1544 0.0000 0.6687
O2 0.5034 0.5000 0.7541
O3 0.5051 0.5000 0.2507
O4 0.5060 0.0000 0.0054
O5 0.5283 0.0000 0.5011
O6 0.7983 0.0000 0.8390
O7 0.8103 0.5000 0.0889
O8 0.8136 0.0000 0.3369
F1 0.1550 0.5000 0.9291
F2 0.1578 0.0000 0.1695
F3 0.1612 0.5000 0.4096
F4 0.8099 0.5000 0.5920
```

---

The following is a simulated powder XRD pattern of Li3V2O4F2. It was derived from a structure optimized by DFT (PBE+U), using CuKα.

Main lines, most intense first (15 to 90 degrees two-theta):
(0 0 3), 17.92 deg, intensity 100; (1 3 -4), 42.59 deg, intensity 66; (2 0 4), 43.09 deg, intensity 30; (1 3 -1), 35.35 deg, intensity 30; (3 3 0), 62.62 deg, intensity 17; (1 3 8), 61.77 deg, intensity 15

Structure:
```
data_Li3V2O4F2
_chemical_formula_sum 'Li18 V12 O24 F12'
_cell_length_a 5.1327
_cell_length_b 8.9354
_cell_length_c 14.8538
_cell_angle_alpha 90.00
_cell_angle_beta 90.70
_cell_angle_gamma 90.00
_space_group_name_H-M_alt 'C 1 2/m 1'
_space_group_IT_number 12
loop_
_space_group_symop_operation_xyz
'x,y,z'
'-x,-y,-z'
'-x,y,-z'
'x,-y,z'
'x+1/2,y+1/2,z'
'-x+1/2,-y+1/2,-z'
'-x+1/2,y+1/2,-z'
'x+1/2,-y+1/2,z'
loop_
_atom_site_label
_atom_site_fract_x
_atom_site_fract_y
_atom_site_fract_z
Li1 0.0000 0.0000 0.0000
Li2 0.0000 0.3334 0.5000
Li3 0.0000 0.3430 0.0000
Li4 0.1704 0.1672 0.1407
V1 0.1665 0.1634 0.6673
V2 0.1670 0.5000 0.6688
O1 0.0071 0.3324 0.7350
O2 0.0204 0.0000 0.2635
O3 0.1456 0.5000 0.4065
O4 0.1762 0.1705 0.4056
F1 0.1530 0.1783 0.9204
F2 0.1871 0.5000 0.9235
```

---

The following is a simulated powder XRD pattern of Li3V2O4F2. It was derived from a structure optimized by DFT (PBE+U), using CuKα.

Main lines, most intense first (15 to 90 degrees two-theta):
(0 0 3), 17.91 deg, intensity 100; (-1 1 4), 42.41 deg, intensity 32; (1 2 -3), 42.70 deg, intensity 31; (2 1 5), 43.14 deg, intensity 30; (0 3 1), 62.38 deg, intensity 17; (1 2 0), 35.45 deg, intensity 16

Structure:
```
data_Li3V2O4F2
_chemical_formula_sum 'Li9 V6 O12 F6'
_cell_length_a 5.1318
_cell_length_b 5.1373
_cell_length_c 15.1215
_cell_angle_alpha 80.54
_cell_angle_beta 81.11
_cell_angle_gamma 60.44
_space_group_name_H-M_alt 'P -1'
_space_group_IT_number 2
loop_
_space_group_symop_operation_xyz
'x,y,z'
'-x,-y,-z'
loop_
_atom_site_label
_atom_site_fract_x
_atom_site_fract_y
_atom_site_fract_z
Li1 0.0000 0.0000 0.0000
Li2 0.0434 0.7127 0.8596
Li3 0.1657 0.1662 0.4999
Li4 0.3421 0.3425 0.0002
Li5 0.3768 0.0479 0.8594
V1 0.1110 0.4437 0.6687
V2 0.2263 0.8836 0.3327
V3 0.4484 0.7713 0.6672
O1 0.0982 0.0856 0.7347
O2 0.1210 0.8098 0.5945
O3 0.1757 0.5342 0.4065
O4 0.2360 0.2433 0.2651
O5 0.4027 0.4213 0.7359
O6 0.4619 0.1279 0.5942
F1 0.0498 0.3583 0.9208
F2 0.3062 0.9976 0.0797
F3 0.3369 0.7138 0.9232
```

---

The following is a simulated powder XRD pattern of Li3V4O3F9. It was derived from a structure optimized by DFT (PBE+U), using CuKα.

Main lines, most intense first (15 to 90 degrees two-theta):
(0 1 -3), 23.65 deg, intensity 100; (1 0 -2), 23.25 deg, intensity 98; (1 1 3), 23.54 deg, intensity 95; (0 1 5), 32.32 deg, intensity 56; (1 1 7), 39.87 deg, intensity 45; (1 2 8), 52.78 deg, intensity 32

Structure:
```
data_Li3V4O3F9
_chemical_formula_sum 'Li6 V8 O6 F18'
_cell_length_a 5.2338
_cell_length_b 5.5430
_cell_length_c 17.2509
_cell_angle_alpha 87.56
_cell_angle_beta 81.90
_cell_angle_gamma 62.16
_space_group_name_H-M_alt 'P 1'
_space_group_IT_number 1
loop_
_space_group_symop_operation_xyz
'x,y,z'
loop_
_atom_site_label
_atom_site_fract_x
_atom_site_fract_y
_atom_site_fract_z
Li1 0.0000 0.0000 0.0000
Li2 0.0264 0.4867 0.4945
Li3 0.1459 0.0575 0.6438
Li4 0.2417 0.3857 0.1268
Li5 0.7370 0.1235 0.3723
Li6 0.7768 0.6024 0.8735
V1 0.0473 0.0636 0.8223
V2 0.0844 0.5345 0.3214
V3 0.3247 0.9440 0.4478
V4 0.3666 0.4037 0.9466
V5 0.5508 0.2826 0.5701
V6 0.5668 0.7594 0.0706
V7 0.8185 0.6486 0.6991
V8 0.8333 0.1272 0.2024
O1 0.3092 0.2396 0.3883
O2 0.3626 0.5862 0.0411
O3 0.3645 0.0871 0.5441
O4 0.7699 0.2014 0.9158
O5 0.8617 0.3472 0.7563
O6 0.8696 0.8413 0.2633
F1 0.2315 0.2892 0.8591
F2 0.2566 0.4558 0.6637
F3 0.2588 0.7578 0.3614
F4 0.2661 0.9677 0.1622
F5 0.3029 0.6170 0.5118
F6 0.3183 0.1002 0.0140
F7 0.3397 0.7427 0.8842
F8 0.3772 0.8743 0.7257
F9 0.3876 0.3667 0.2241
F10 0.7530 0.0079 0.1002
F11 0.7742 0.7121 0.4198
F12 0.7774 0.4908 0.5981
F13 0.8257 0.9763 0.6348
F14 0.8344 0.4616 0.1329
F15 0.8643 0.8228 0.7939
F16 0.8648 0.1606 0.4737
F17 0.8698 0.3224 0.2928
F18 0.8925 0.6403 0.9750
```